(1)
Diffraction record for Na2NdCdSn2. The PXRD pattern is theoretical, not measured: it uses a PBE-relaxed structure and CuKα.
No peak broadening, texture or thermal motion is included.

Crystal structure
a = 4.8550 Å, b = 9.1793 Å, c = 7.7173 Å
α = 90.00°, β = 90.00°, γ = 90.00°
Sites, in units of the cell vectors:
1 Na 0.0000 0.0745 0.0000
2 Na 0.0000 0.9255 0.5000
3 Na 0.5000 0.1626 0.3083
4 Na 0.5000 0.8374 0.8083
5 Nd 0.5000 0.4616 0.9666
6 Nd 0.5000 0.5384 0.4666
7 Cd 0.0000 0.3117 0.6251
8 Cd 0.0000 0.6883 0.1251
9 Sn 0.0000 0.3801 0.2431
10 Sn 0.0000 0.6199 0.7431
11 Sn 0.5000 0.1699 0.7260
12 Sn 0.5000 0.8301 0.2260

Peak list (10 most intense, 2θ from 15° to 90°, sorted by position)
2θ 23.72, intensity 28, hkl 1 1 1
2θ 29.17, intensity 30, hkl 1 2 1
2θ 29.57, intensity 20, hkl 1 0 2
2θ 30.26, intensity 30, hkl 0 2 2
2θ 31.17, intensity 100, hkl 1 1 2
2θ 34.65, intensity 69, hkl 1 3 0
2θ 35.58, intensity 22, hkl 1 2 2
2θ 37.03, intensity 45, hkl 2 0 0
2θ 40.18, intensity 26, hkl 0 2 3
2θ 40.90, intensity 23, hkl 1 1 3

---

(2)
Diffraction record for Nb6HSI9. The PXRD pattern is theoretical, not measured: it uses a PBE-relaxed structure and CuKα.
No peak broadening, texture or thermal motion is included.

Crystal structure
a = 10.8629 Å, b = 11.0537 Å, c = 11.7833 Å
α = 104.80°, β = 104.84°, γ = 113.94°
Sites, in units of the cell vectors:
1 Nb 0.0726 0.1914 0.4569
2 Nb 0.0729 0.1916 0.1694
3 Nb 0.1179 0.9341 0.1132
4 Nb 0.1180 0.9342 0.4109
5 Nb 0.1865 0.1135 0.9700
6 Nb 0.1868 0.1138 0.6728
7 Nb 0.8132 0.8862 0.3272
8 Nb 0.8135 0.8865 0.0300
9 Nb 0.8820 0.0658 0.5891
10 Nb 0.8821 0.0659 0.8868
11 Nb 0.9271 0.8084 0.8306
12 Nb 0.9274 0.8086 0.5431
13 H 0.0000 0.0000 0.0000
14 H 0.0000 0.0000 0.5000
15 S 0.0020 0.0053 0.2517
16 S 0.9980 0.9947 0.7483
17 I 0.1369 0.3583 0.0232
18 I 0.1367 0.3584 0.7133
19 I 0.1667 0.4399 0.3949
20 I 0.2263 0.8625 0.9255
21 I 0.2268 0.8636 0.6158
22 I 0.2751 0.8446 0.2777
23 I 0.3659 0.2303 0.5465
24 I 0.3666 0.2303 0.2368
25 I 0.4366 0.2653 0.9169
26 I 0.5634 0.7347 0.0831
27 I 0.6334 0.7697 0.7632
28 I 0.6341 0.7697 0.4535
29 I 0.7249 0.1554 0.7223
30 I 0.7732 0.1364 0.3842
31 I 0.7737 0.1375 0.0745
32 I 0.8333 0.5601 0.6051
33 I 0.8633 0.6416 0.2868
34 I 0.8631 0.6417 0.9768

Peak list (10 most intense, 2θ from 15° to 90°, sorted by position)
2θ 19.28, intensity 78, hkl 2 -2 0
2θ 25.51, intensity 81, hkl 2 -3 0
2θ 25.70, intensity 100, hkl 1 2 0
2θ 25.98, intensity 91, hkl 3 -1 0
2θ 26.81, intensity 83, hkl 2 1 -3
2θ 27.22, intensity 83, hkl 1 -2 3
2θ 27.42, intensity 82, hkl -1 1 3
2θ 36.99, intensity 67, hkl 0 4 -3
2θ 38.56, intensity 83, hkl 2 0 3
2θ 46.52, intensity 75, hkl 1 2 -6

---

What is the formula in the second record?
Nb6HSI9